The following is a simulated XRD peak list of NiOs2O6. It was derived from DFT lattice parameters and positions (PBE+U), using Cu Kα.

Atomic structure:
```
data_NiOs2O6
_space_group_name_H-M_alt 'P 3 2 1'
_space_group_IT_number 150
_cell_length_a 8.6410
_cell_length_b 8.6410
_cell_length_c 4.3874
_cell_angle_alpha 90.00
_cell_angle_beta 90.00
_cell_angle_gamma 120.00
loop_
_space_group_symop_operation_xyz
'x,y,z'
'-y,x-y,z'
'-x+y,-x,z'
'y,x,-z'
'x-y,-y,-z'
'-x,-x+y,-z'
loop_
_atom_site_label
_atom_site_type_symbol
_atom_site_fract_x
_atom_site_fract_y
_atom_site_fract_z
_atom_site_occupancy
Ni1 Ni 0.0000 0.0000 0.0000 1
Ni2 Ni 0.3333 0.6667 0.5038 1
Os1 Os 0.0000 0.3229 0.5000 1
Os2 Os 0.0000 0.6565 0.0000 1
O1 O 0.1028 0.5433 0.7489 1
O2 O 0.1118 0.8807 0.7595 1
O3 O 0.2124 0.7775 0.2589 1
```

Main lines, in order of falling intensity (2θ from 10° to 90°):
d/Å  2θ/deg  I (rel.)  h k l
3.078  29.01  100  1 1 1
2.494  36.00  40  3 0 0
1.647  55.81  35  3 0 2
1.938  46.88  27  2 2 1
1.530  60.49  25  4 1 1
4.321  20.56  17  1 1 0
1.440  64.73  12  3 3 0
1.156  83.66  10  2 5 1